Entry 1:
BaPu4Pt3S12: simulated powder X-ray diffraction pattern (Cu Ka), based on a cell relaxed with PBE.

Cell: 9.782 9.782 9.782 Å, 90.00 90.00 90.00°
Space group Im-3 (No. 204)
Asymmetric unit:
Ba1 0.000 0.000 0.000 x2
Pu1 0.250 0.250 0.250 x8
Pt1 0.000 0.000 0.500 x6
S1 0.000 0.158 0.319 x24

Top 10 peaks for 2θ = 15–90°, sorted by position:
2θ (°)  I_rel  hkl
25.76  100  2 2 0
36.75  24  4 0 0
41.27  3  4 0 2
45.42  58  4 2 2
52.95  15  4 4 0
59.79  23  6 0 2
66.19  6  4 4 4
72.28  25  6 4 2
83.94  17  6 6 0
89.64  7  8 0 4

Entry 2:
BaAg4Au8: simulated powder X-ray diffraction pattern (Cu Ka), based on a cell relaxed with PBE.

Cell: 9.613 9.613 5.708 Å, 90.00 90.00 90.00°
Space group I4/mmm (No. 139)
Asymmetric unit:
Ba1 0.000 0.000 0.000 x2
Ag1 0.250 0.250 0.250 x8
Au1 0.000 0.222 0.500 x8
Au2 0.000 0.352 0.000 x8

Top 10 peaks for 2θ = 15–90°, sorted by position:
2θ (°)  I_rel  hkl
31.34  34  0 0 2
32.03  40  3 0 1
36.62  44  2 0 2
37.22  100  3 2 1
37.42  48  4 0 0
41.31  68  2 2 2
41.86  51  4 1 1
42.04  27  4 2 0
59.71  26  3 2 3
67.38  28  6 3 1

Entry 3:
TbPr2Sm12: simulated powder X-ray diffraction pattern (Cu Ka), based on a cell relaxed with PBE.

Cell: 7.185 11.569 25.031 Å, 90.00 90.00 90.00°
Space group Cmme (No. 67)
Asymmetric unit:
Tb1 0.000 0.250 0.000 x4
Pr1 0.000 0.250 0.266 x4
Pr2 0.000 0.250 0.726 x4
Sm1 0.000 0.001 0.076 x8
Sm2 0.000 0.024 0.560 x8
Sm3 0.230 0.250 0.418 x8
Sm4 0.249 0.250 0.873 x8
Sm5 0.250 0.000 0.199 x8
Sm6 0.250 0.000 0.327 x8

Top 10 peaks for 2θ = 15–90°, sorted by position:
2θ (°)  I_rel  hkl
28.65  32  2 0 4
29.36  71  0 2 7
30.14  99  2 2 2
30.92  100  0 4 0
31.21  31  2 2 3
32.54  75  0 2 8
32.65  58  2 2 4
36.48  63  2 2 6
57.57  28  2 4 11
60.69  28  4 4 0

Entry 4:
BaAc2PaN4: simulated powder X-ray diffraction pattern (Cu Ka), based on a cell relaxed with PBE.

Cell: 7.549 7.588 11.094 Å, 90.00 90.00 90.00°
Space group Imma (No. 74)
Asymmetric unit:
Ba1 0.250 0.250 0.250 x4
Ac1 0.000 0.000 0.000 x4
Ac2 0.250 0.250 0.750 x4
Pa1 0.000 0.000 0.500 x4
N1 0.000 0.015 0.697 x8
N2 0.228 0.250 0.507 x8

Top 10 peaks for 2θ = 15–90°, sorted by position:
2θ (°)  I_rel  hkl
28.50  100  0 2 2
28.60  99  2 0 2
32.28  45  0 0 4
33.49  86  2 2 0
47.20  63  2 2 4
55.27  18  0 2 6
55.33  18  2 0 6
56.80  31  2 4 2
56.97  31  4 2 2
58.99  16  0 4 4

Entry 5:
Ac2CePb3: simulated powder X-ray diffraction pattern (Cu Ka), based on a cell relaxed with PBE.

Cell: 5.365 16.147 9.329 Å, 90.00 90.00 90.00°
Space group Cmmm (No. 65)
Asymmetric unit:
Ac1 0.000 0.000 0.000 x2
Ac2 0.000 0.000 0.500 x2
Ac3 0.000 0.334 0.000 x4
Ce1 0.000 0.330 0.500 x4
Pb1 0.000 0.170 0.258 x8
Pb2 0.000 0.500 0.257 x4

Top 10 peaks for 2θ = 15–90°, sorted by position:
2θ (°)  I_rel  hkl
30.34  100  1 3 2
33.29  20  0 6 0
33.40  20  2 0 0
38.61  13  0 0 4
47.88  15  2 6 0
51.92  23  2 0 4
57.67  17  1 9 2
57.81  17  3 3 2
63.12  13  2 6 4
64.79  12  1 3 6